This entry pairs a crystal structure of LiGa2Rh with its calculated XRD peak list. Radiation: copper Kα. Structure: a structure optimized by DFT (GGA-PBE).
Peak positions follow from Bragg's law for the DFT cell and can differ from measured ones.

Structural model:
```
data_LiGa2Rh
_chemical_formula_sum 'Li4 Ga8 Rh4'
_symmetry_space_group_name_H-M 'P 1'
_symmetry_Int_Tables_number 1
_cell_length_a 6.0889
_cell_length_b 6.0889
_cell_length_c 6.0889
_cell_angle_alpha 90.00
_cell_angle_beta 90.00
_cell_angle_gamma 90.00
loop_
_symmetry_equiv_pos_as_xyz
'x,y,z'
loop_
_atom_site_label
_atom_site_type_symbol
_atom_site_fract_x
_atom_site_fract_y
_atom_site_fract_z
Li1 Li 0.0000 0.0000 0.0000
Li2 Li 0.0000 0.5000 0.5000
Li3 Li 0.5000 0.0000 0.5000
Li4 Li 0.5000 0.5000 0.0000
Ga1 Ga 0.2500 0.2500 0.2500
Ga2 Ga 0.2500 0.2500 0.7500
Ga3 Ga 0.2500 0.7500 0.2500
Ga4 Ga 0.2500 0.7500 0.7500
Ga5 Ga 0.7500 0.2500 0.2500
Ga6 Ga 0.7500 0.2500 0.7500
Ga7 Ga 0.7500 0.7500 0.2500
Ga8 Ga 0.7500 0.7500 0.7500
Rh1 Rh 0.0000 0.0000 0.5000
Rh2 Rh 0.0000 0.5000 0.0000
Rh3 Rh 0.5000 0.0000 0.0000
Rh4 Rh 0.5000 0.5000 0.5000
```

Top 10 peaks for 10° ≤ 2θ ≤ 90°, in order of falling intensity:
h k l, 2theta, intensity
2 2 0, 41.97, 100.0
1 1 1, 25.34, 39.8
4 2 2, 76.67, 32.1
3 1 1, 49.66, 18.5
4 0 0, 60.85, 16.2
3 3 1, 66.99, 7.4
5 1 1, 82.28, 5.5
2 0 0, 29.34, 2.6
4 2 0, 68.97, 0.8
2 2 2, 52.03, 0.7